[1]
For Ce2AgHg6, a crystal structure in Alexandria, relaxed with GGA-PBE gives the calculated powder X-ray diffraction pattern in this record (copper Kα).
Lines closer than 0.1° are merged.

Crystal structure
Unit cell a=11.432 b=8.247 c=5.698 alpha=90.00 beta=116.28 gamma=90.00
Space group C2/m (No. 12)
One atom of each set of equivalent atoms:
Ce  0.182  0.000  0.277
Ag  0.000  0.500  0.500
Hg  0.000  0.325  0.000
Hg  0.144  0.187  0.724

Principal peaks in the range 15° ≤ 2θ ≤ 90°, most intense first:
h k l, 2θ/deg, I (rel.)
1 3 -1, 36.3, 100
3 1 0, 28.3, 71
2 2 1, 37.0, 58
2 0 -2, 31.4, 51
4 2 -1, 38.4, 45
2 0 1, 29.7, 36
4 0 -2, 37.1, 35
5 3 -3, 63.2, 22
1 1 -2, 34.0, 21
3 5 0, 62.5, 19



[2]
For CeAgHg5, a crystal structure in Alexandria, relaxed with GGA-PBE gives the calculated powder X-ray diffraction pattern in this record (copper Kα).
Lines closer than 0.1° are merged.

Crystal structure
Unit cell a=4.929 b=4.929 c=7.423 alpha=90.00 beta=90.00 gamma=90.00
Space group P4/mmm (No. 123)
One atom of each set of equivalent atoms:
Ce  0.000  0.000  0.000
Ag  0.000  0.000  0.500
Hg  0.000  0.500  0.289
Hg  0.500  0.500  0.000

Principal peaks in the range 15° ≤ 2θ ≤ 90°, most intense first:
h k l, 2θ/deg, I (rel.)
1 1 2, 35.3, 100
2 0 0, 36.5, 54
3 1 2, 64.9, 35
1 1 1, 28.3, 23
2 2 0, 52.5, 19
2 0 3, 52.4, 14
4 2 0, 88.7, 13
2 0 4, 62.7, 13
1 1 5, 68.7, 11
1 1 0, 25.6, 10



[3]
For Ce5AgHgOs2, a crystal structure in Alexandria, relaxed with GGA-PBE gives the calculated powder X-ray diffraction pattern in this record (copper Kα).
Lines closer than 0.1° are merged.

Crystal structure
Unit cell a=7.804 b=7.804 c=14.965 alpha=90.00 beta=90.00 gamma=90.00
Space group I4/mcm (No. 140)
One atom of each set of equivalent atoms:
Ce  0.000  0.000  0.000
Ce  0.211  0.289  0.123
Ag  0.000  0.500  0.250
Hg  0.000  0.000  0.250
Os  0.119  0.381  0.500

Principal peaks in the range 15° ≤ 2θ ≤ 90°, most intense first:
h k l, 2θ/deg, I (rel.)
2 0 4, 33.2, 100
2 1 3, 31.3, 44
2 2 0, 32.4, 44
2 1 5, 39.7, 27
3 2 1, 42.2, 20
4 2 4, 58.3, 20
3 1 0, 36.4, 20
0 0 8, 48.7, 17
2 2 8, 59.7, 15
5 1 4, 65.9, 13



[4]
For CePaAgHg, a crystal structure in Alexandria, relaxed with GGA-PBE gives the calculated powder X-ray diffraction pattern in this record (copper Kα).
Lines closer than 0.1° are merged.

Crystal structure
Unit cell a=7.449 b=7.449 c=7.449 alpha=90.00 beta=90.00 gamma=90.00
Space group F-43m (No. 216)
One atom of each set of equivalent atoms:
Ce  0.000  0.000  0.000
Pa  0.000  0.000  0.500
Ag  0.250  0.250  0.250
Hg  0.250  0.250  0.750

Principal peaks in the range 15° ≤ 2θ ≤ 90°, most intense first:
h k l, 2θ/deg, I (rel.)
2 2 0, 34.0, 100
4 2 2, 60.9, 38
4 0 0, 48.9, 18
6 2 0, 81.8, 17
4 4 0, 71.7, 12
1 1 1, 20.7, 7
3 1 1, 40.2, 4
3 3 1, 53.6, 2
5 3 1, 75.5, 2
5 1 1, 65.1, 2



[5]
For Ce2ThAg2Hg2, a crystal structure in Alexandria, relaxed with GGA-PBE gives the calculated powder X-ray diffraction pattern in this record (copper Kα).
Lines closer than 0.1° are merged.

Crystal structure
Unit cell a=4.8938 b=4.8938 c=24.7655 alpha=90.00 beta=90.00 gamma=120.00
Space group R-3m (No. 166, hexagonal axes)
One atom of each set of equivalent atoms:
Ce  0.0000  0.0000  0.1409
Th  0.0000  0.0000  0.0000
Ag  0.0000  0.0000  0.4214
Hg  0.0000  0.0000  0.2707

Principal peaks in the range 15° ≤ 2θ ≤ 90°, most intense first:
h k l, 2θ/deg, I (rel.)
1 0 7, 33.0, 100
1 1 0, 36.7, 90
0 2 7, 50.2, 31
2 1 7, 63.8, 30
0 1 8, 35.9, 16
3 0 0, 66.1, 16
1 3 7, 87.4, 13
0 1 14, 56.4, 12
1 1 15, 68.6, 12
2 2 0, 78.1, 10



[6]
For CeHo2Ag, a crystal structure in Alexandria, relaxed with GGA-PBE gives the calculated powder X-ray diffraction pattern in this record (copper Kα).
Lines closer than 0.1° are merged.

Crystal structure
Unit cell a=3.596 b=3.596 c=8.278 alpha=90.00 beta=90.00 gamma=90.00
Space group P4/mmm (No. 123)
One atom of each set of equivalent atoms:
Ce  0.000  0.000  0.000
Ho  0.500  0.500  0.282
Ag  0.000  0.000  0.500

Principal peaks in the range 15° ≤ 2θ ≤ 90°, most intense first:
h k l, 2θ/deg, I (rel.)
1 0 2, 33.0, 100
1 1 0, 35.3, 46
2 1 2, 61.9, 32
2 0 0, 50.8, 16
1 1 4, 57.4, 15
2 0 4, 69.2, 9
0 0 4, 43.7, 9
3 1 0, 85.4, 7
3 0 2, 84.1, 7
1 0 5, 61.7, 5